Sc2Si4Rh5: simulated X-ray diffraction stick pattern (Cu Kα (λ = 1.5418 Å)), based on the PBE geometry in Alexandria.

Top 8 peaks for 2θ from 5° to 70°, sorted by position:
d_spacing  Position (°2θ)  intensity
4.633  19.2  60
3.494  25.5  45
2.790  32.1  65
2.370  38.0  100
2.317  38.9  38
2.165  41.7  60
1.961  46.3  75
1.931  47.1  45

Crystal structure
```
data_Sc2Si4Rh5
_cell_length_a 5.5152
_cell_length_b 9.2667
_cell_length_c 13.9767
_cell_angle_alpha 90.00
_cell_angle_beta 90.00
_cell_angle_gamma 90.00
_space_group_name_H-M_alt 'F m m m'
_space_group_IT_number 69
_space_group_name_Hall '-F 2 2'
loop_
_atom_site_label
_atom_site_type_symbol
_atom_site_fract_x
_atom_site_fract_y
_atom_site_fract_z
Sc1 Sc 0.0000 0.0000 0.1213
Si1 Si 0.0000 0.1501 0.3665
Rh1 Rh 0.0000 0.0000 0.5000
Rh2 Rh 0.2500 0.2500 0.0000
Rh3 Rh 0.2500 0.2500 0.2500
```